Entry 1:
Structure and theoretical XRD peak list of Cs2RbSiF7 (a cell relaxed with GGA-PBE; Cu Kα, 1.54184 Å).

Cell and atoms:
```
data_Cs2RbSiF7
_chemical_formula_sum 'Cs8 Rb4 Si4 F28'
_space_group_name_H-M_alt 'C m m m'
_space_group_IT_number 65
_space_group_name_Hall '-C 2 2'
_cell_length_a 11.722
_cell_length_b 11.843
_cell_length_c 6.136
_cell_angle_alpha 90.00
_cell_angle_beta 90.00
_cell_angle_gamma 90.00
loop_
_atom_site_label
_atom_site_fract_x
_atom_site_fract_y
_atom_site_fract_z
Cs1 0.000 0.195 0.000
Cs2 0.250 0.250 0.500
Rb1 0.195 0.500 0.000
Si1 0.000 0.000 0.500
Si2 0.000 0.500 0.500
F1 0.000 0.145 0.500
F2 0.000 0.398 0.299
F3 0.104 0.000 0.300
F4 0.147 0.500 0.500
F5 0.250 0.250 0.000
```

The 12 most intense peaks (5 to 70 degrees two-theta), by angle:
25.9°, intensity 100, (2 2 1); 27.9°, intensity 14, (1 3 1); 29.1°, intensity 28, (0 0 2); 30.2°, intensity 16, (0 4 0); 30.5°, intensity 20, (4 0 0); 33.9°, intensity 12, (2 4 0); 34.1°, intensity 16, (4 2 0); 37.9°, intensity 17, (1 3 2); 38.1°, intensity 14, (3 1 2); 42.4°, intensity 12, (0 4 2); 42.7°, intensity 15, (4 0 2); 49.7°, intensity 14, (2 2 3)



Entry 2:
Structure and theoretical XRD peak list of CsRb2TaF6 (a cell relaxed with GGA-PBE; Cu Kα, 1.54184 Å).

Cell and atoms:
```
data_CsRb2TaF6
_chemical_formula_sum 'Cs4 Rb8 Ta4 F24'
_space_group_name_H-M_alt 'F m -3 m'
_space_group_IT_number 225
_space_group_name_Hall '-F 4 2 3'
_cell_length_a 9.847
_cell_length_b 9.847
_cell_length_c 9.847
_cell_angle_alpha 90.00
_cell_angle_beta 90.00
_cell_angle_gamma 90.00
loop_
_atom_site_label
_atom_site_fract_x
_atom_site_fract_y
_atom_site_fract_z
Cs1 0.000 0.000 0.000
Rb1 0.250 0.250 0.250
Ta1 0.000 0.000 0.500
F1 0.000 0.000 0.290
```

The 12 most intense peaks (5 to 70 degrees two-theta), by angle:
15.6°, intensity 6, (1 1 1); 18.0°, intensity 19, (2 0 0); 25.6°, intensity 100, (2 2 0); 36.5°, intensity 33, (4 0 0); 41.0°, intensity 7, (4 2 0); 45.1°, intensity 40, (4 2 2); 48.0°, intensity 2, (5 1 1); 52.6°, intensity 21, (4 4 0); 56.0°, intensity 4, (6 0 0); 59.4°, intensity 22, (6 2 0); 65.7°, intensity 7, (4 4 4); 68.7°, intensity 2, (6 4 0)



Entry 3:
Structure and theoretical XRD peak list of Cs2RbTlF6 (a cell relaxed with GGA-PBE; Cu Kα, 1.54184 Å).

Cell and atoms:
```
data_Cs2RbTlF6
_chemical_formula_sum 'Cs8 Rb4 Tl4 F24'
_space_group_name_H-M_alt 'F m -3 m'
_space_group_IT_number 225
_space_group_name_Hall '-F 4 2 3'
_cell_length_a 9.782
_cell_length_b 9.782
_cell_length_c 9.782
_cell_angle_alpha 90.00
_cell_angle_beta 90.00
_cell_angle_gamma 90.00
loop_
_atom_site_label
_atom_site_fract_x
_atom_site_fract_y
_atom_site_fract_z
Cs1 0.250 0.250 0.250
Rb1 0.000 0.000 0.000
Tl1 0.000 0.000 0.500
F1 0.000 0.000 0.275
```

The 12 most intense peaks (5 to 70 degrees two-theta), by angle:
15.7°, intensity 14, (1 1 1); 18.1°, intensity 2, (2 0 0); 25.8°, intensity 100, (2 2 0); 30.3°, intensity 6, (3 1 1); 36.8°, intensity 33, (4 0 0); 45.4°, intensity 43, (4 2 2); 48.3°, intensity 3, (5 1 1); 53.0°, intensity 22, (4 4 0); 55.6°, intensity 3, (5 3 1); 59.8°, intensity 21, (6 2 0); 66.2°, intensity 7, (4 4 4); 68.5°, intensity 2, (5 5 1)



Entry 4:
Structure and theoretical XRD peak list of Cs2RhF6 (a cell relaxed with GGA-PBE; Cu Kα, 1.54184 Å).

Cell and atoms:
```
data_Cs2RhF6
_chemical_formula_sum 'Cs2 Rh1 F6'
_space_group_name_H-M_alt 'P -3 m 1'
_space_group_IT_number 164
_space_group_name_Hall '-P 3 2"'
_cell_length_a 6.3049
_cell_length_b 6.3049
_cell_length_c 5.1621
_cell_angle_alpha 90.00
_cell_angle_beta 90.00
_cell_angle_gamma 120.00
loop_
_atom_site_label
_atom_site_fract_x
_atom_site_fract_y
_atom_site_fract_z
Cs1 0.3333 0.6667 0.3052
Rh1 0.0000 0.0000 0.0000
F1 0.1493 0.2987 0.7894
```

The 12 most intense peaks (5 to 70 degrees two-theta), by angle:
23.7°, intensity 100, (0 1 1); 28.3°, intensity 58, (1 1 0); 34.8°, intensity 4, (0 0 2); 37.3°, intensity 57, (2 0 1); 38.6°, intensity 25, (1 0 2); 47.4°, intensity 25, (1 2 1); 48.5°, intensity 17, (0 2 2); 50.1°, intensity 11, (3 0 0); 57.1°, intensity 21, (2 1 2); 58.6°, intensity 14, (2 2 0); 61.4°, intensity 14, (1 1 3); 64.1°, intensity 13, (3 1 1)



Entry 5:
Structure and theoretical XRD peak list of CsSbF4 (a cell relaxed with GGA-PBE; Cu Kα, 1.54184 Å).

Cell and atoms:
```
data_CsSbF4
_chemical_formula_sum 'Cs8 Sb8 F32'
_space_group_name_H-M_alt 'P b a m'
_space_group_IT_number 55
_space_group_name_Hall '-P 2 2ab'
_cell_length_a 9.828
_cell_length_b 16.124
_cell_length_c 6.470
_cell_angle_alpha 90.00
_cell_angle_beta 90.00
_cell_angle_gamma 90.00
loop_
_atom_site_label
_atom_site_fract_x
_atom_site_fract_y
_atom_site_fract_z
Cs1 0.091 0.116 0.000
Cs2 0.142 0.761 0.500
Sb1 0.027 0.370 0.000
Sb2 0.215 0.501 0.500
F1 0.109 0.295 0.223
F2 0.115 0.718 0.000
F3 0.121 0.583 0.244
F4 0.161 0.952 0.280
F5 0.162 0.097 0.500
```

The 12 most intense peaks (5 to 70 degrees two-theta), by angle:
22.7°, intensity 69, (2 0 1); 23.4°, intensity 64, (2 1 1); 24.5°, intensity 18, (2 3 0); 26.0°, intensity 100, (0 4 1); 27.6°, intensity 37, (0 0 2); 28.6°, intensity 32, (2 4 0); 33.2°, intensity 18, (2 5 0); 37.2°, intensity 48, (2 3 2); 40.2°, intensity 25, (2 4 2); 47.8°, intensity 26, (0 4 3); 51.0°, intensity 16, (2 8 1); 53.6°, intensity 17, (0 8 2)